Theoretical powder XRD pattern
Compound: TbWIO4
Radiation: copper Kα
Structure: a PBE+U-relaxed structure

Crystal structure
Cell lengths 10.9922, 7.2838, 7.1740 Å; angles 90.00, 106.81, 90.00 degrees
Space group C2/m (No. 12)
Symmetry-distinct sites (fractional):
Tb  0.2441  0.0000  0.1351 (multiplicity 4)
W  0.1334  0.5000  0.2626 (multiplicity 4)
I  0.0163  0.0000  0.7525 (multiplicity 4)
O  0.0387  0.5000  0.8075 (multiplicity 4)
O  0.1941  0.5000  0.5249 (multiplicity 4)
O  0.1953  0.3078  0.1515 (multiplicity 8)

Most intense lines, 2θ from 5° to 70°, by intensity:
| Position (°2θ) | intensity |
| --- | --- |
| 24.44 | 100 |
| 33.15 | 55 |
| 27.83 | 51 |
| 28.24 | 43 |
| 25.95 | 43 |
| 24.10 | 33 |
| 35.95 | 32 |
| 45.15 | 24 |
| 27.74 | 20 |
| 12.89 | 20 |